1.
Computed powder diffraction line list
Compound: TbThMgSn
Radiation: Cu Ka
Structure: DFT lattice parameters and positions (GGA-PBE)

Largest 8 diffraction maxima, sorted by position, 2θ from 10° to 80°:
hkl, Position (°2θ), d (Å), I/Imax
1 1 1, 20.1, 4.408, 11
2 0 0, 23.3, 3.818, 24
2 2 0, 33.2, 2.699, 100
4 0 0, 47.6, 1.909, 18
4 2 0, 53.7, 1.707, 10
4 2 2, 59.3, 1.559, 39
4 4 0, 69.7, 1.350, 12
6 2 0, 79.4, 1.207, 17

Atomic structure:
```
data_TbThMgSn
_symmetry_space_group_name_H-M 'F -4 3 m'
_symmetry_Int_Tables_number 216
_symmetry_space_group_name_Hall 'F -4 2 3'
_cell_length_a 7.6351
_cell_length_b 7.6351
_cell_length_c 7.6351
_cell_angle_alpha 90.00
_cell_angle_beta 90.00
_cell_angle_gamma 90.00
loop_
_atom_site_label
_atom_site_type_symbol
_atom_site_fract_x
_atom_site_fract_y
_atom_site_fract_z
Tb1 Tb 0.0000 0.0000 0.0000
Th1 Th 0.0000 0.0000 0.5000
Mg1 Mg 0.2500 0.2500 0.7500
Sn1 Sn 0.2500 0.2500 0.2500
```

2.
Computed powder diffraction line list
Compound: Zr2Pa3
Radiation: Cu Ka
Structure: DFT lattice parameters and positions (GGA-PBE)

Largest 8 diffraction maxima, sorted by position, 2θ from 10° to 80°:
hkl, Position (°2θ), d (Å), I/Imax
0 0 1, 15.6, 5.674, 23
1 1 1, 33.0, 2.717, 100
3 1 -2, 35.5, 2.529, 82
4 0 -1, 36.6, 2.455, 38
2 0 -3, 37.5, 2.401, 35
0 2 0, 44.8, 2.023, 22
4 2 -1, 59.2, 1.561, 19
1 3 1, 75.1, 1.265, 19

Atomic structure:
```
data_Zr2Pa3
_symmetry_space_group_name_H-M 'C 1 2/m 1'
_symmetry_Int_Tables_number 12
_symmetry_space_group_name_Hall '-C 2y'
_cell_length_a 10.4682
_cell_length_b 4.0463
_cell_length_c 7.3733
_cell_angle_alpha 90.00
_cell_angle_beta 129.69
_cell_angle_gamma 90.00
loop_
_atom_site_label
_atom_site_type_symbol
_atom_site_fract_x
_atom_site_fract_y
_atom_site_fract_z
Zr1 Zr 0.0998 0.0000 0.3924
Pa1 Pa 0.0000 0.5000 0.0000
Pa2 Pa 0.2052 0.5000 0.8105
```